Simulated powder XRD pattern
Compound: Mn2NiP3O12
Radiation: Cu Kα X-rays
Structure: a crystal structure in the Materials Project, relaxed with GGA+U
Kinematic intensities with the Lorentz-polarization factor, no thermal factor.

Structure:
Cell: 8.4394 8.4394 8.4394 Å, 60.90 60.90 60.90°
Element x y z (fractional)
Mn 0.1420 0.1420 0.1420
Mn 0.3580 0.3580 0.3580
Mn 0.6420 0.6420 0.6420
Mn 0.8580 0.8580 0.8580
Ni 0.0000 0.0000 0.0000
Ni 0.5000 0.5000 0.5000
P 0.0427 0.7500 0.4573
P 0.2500 0.5427 0.9573
P 0.4573 0.0427 0.7500
P 0.5427 0.9573 0.2500
P 0.7500 0.4573 0.0427
P 0.9573 0.2500 0.5427
O 0.0087 0.8139 0.6149
O 0.0574 0.9112 0.2569
O 0.0888 0.7431 0.9426
O 0.1149 0.3139 0.5087
O 0.1861 0.3851 0.9913
O 0.2431 0.5888 0.4426
O 0.2569 0.0574 0.9112
O 0.3139 0.5087 0.1149
O 0.3851 0.9913 0.1861
O 0.4112 0.5574 0.7569
O 0.4426 0.2431 0.5888
O 0.4913 0.8851 0.6861
O 0.5087 0.1149 0.3139
O 0.5574 0.7569 0.4112
O 0.5888 0.4426 0.2431
O 0.6149 0.0087 0.8139
O 0.6861 0.4913 0.8851
O 0.7431 0.9426 0.0888
O 0.7569 0.4112 0.5574
O 0.8139 0.6149 0.0087
O 0.8851 0.6861 0.4913
O 0.9112 0.2569 0.0574
O 0.9426 0.0888 0.7431
O 0.9913 0.1861 0.3851

The 10 most intense peaks (10° ≤ 2θ ≤ 90°), low angle first:
two_theta, I/Imax
20.77, 93
24.54, 100
25.57, 20
33.54, 69
36.39, 41
48.09, 36
50.32, 26
56.97, 25
57.46, 18
63.67, 21

***

Simulated powder XRD pattern
Compound: TiFeO4
Radiation: Cu Kα X-rays
Structure: a crystal structure in the Materials Project, relaxed with GGA+U
Kinematic intensities with the Lorentz-polarization factor, no thermal factor.

Structure:
Cell: 5.5010 5.5010 5.3899 Å, 90.00 90.00 121.42°
Element x y z (fractional)
Ti 0.0000 0.5000 0.2447
Ti 0.5000 0.0000 0.7553
Fe 0.0000 0.0000 0.0000
Fe 0.5000 0.5000 0.5000
O 0.2075 0.7925 0.0000
O 0.2143 0.2992 0.2596
O 0.2992 0.2143 0.7404
O 0.2985 0.7015 0.5000
O 0.7015 0.2985 0.5000
O 0.7008 0.7857 0.7404
O 0.7857 0.7008 0.2596
O 0.7925 0.2075 0.0000

The 10 most intense peaks (10° ≤ 2θ ≤ 90°), low angle first:
two_theta, I/Imax
25.16, 100
36.69, 8
37.49, 19
38.33, 10
47.76, 28
53.46, 19
54.74, 19
62.25, 14
68.20, 8
74.48, 11

***

Please write out number 2 again, unchanged.
Simulated powder XRD pattern
Compound: TiFeO4
Radiation: Cu Kα X-rays
Structure: a crystal structure in the Materials Project, relaxed with GGA+U
Kinematic intensities with the Lorentz-polarization factor, no thermal factor.

Structure:
Cell: 5.5010 5.5010 5.3899 Å, 90.00 90.00 121.42°
Element x y z (fractional)
Ti 0.0000 0.5000 0.2447
Ti 0.5000 0.0000 0.7553
Fe 0.0000 0.0000 0.0000
Fe 0.5000 0.5000 0.5000
O 0.2075 0.7925 0.0000
O 0.2143 0.2992 0.2596
O 0.2992 0.2143 0.7404
O 0.2985 0.7015 0.5000
O 0.7015 0.2985 0.5000
O 0.7008 0.7857 0.7404
O 0.7857 0.7008 0.2596
O 0.7925 0.2075 0.0000

The 10 most intense peaks (10° ≤ 2θ ≤ 90°), low angle first:
two_theta, I/Imax
25.16, 100
36.69, 8
37.49, 19
38.33, 10
47.76, 28
53.46, 19
54.74, 19
62.25, 14
68.20, 8
74.48, 11